Record 1
# CsBa2Zn2F9
Calculated powder XRD pattern, Cu Kα X-rays. Input: a cell relaxed with GGA-PBE.
Peak positions follow from Bragg's law for the DFT cell and can differ from measured ones.

Peak list (10 most intense, 2θ = 10–80°, sorted by position)
- 26.9°, intensity 1000, (0 1 5)
- 29.8°, intensity 797, (1 1 0)
- 38.5°, intensity 168, (0 2 4)
- 40.5°, intensity 613, (2 0 5)
- 45.7°, intensity 245, (1 0 10)
- 51.1°, intensity 356, (1 2 5)
- 52.8°, intensity 160, (3 0 0)
- 55.5°, intensity 148, (0 2 10)
- 61.8°, intensity 198, (2 2 0)
- 64.2°, intensity 150, (2 1 10)

Crystal structure
Cell: 6.0033 6.0033 21.5038 Å, 90.00 90.00 120.00°
Space group R3m (No. 160, hexagonal axes)
Unique sites:
Cs1 0.0000 0.0000 0.0000 x3
Ba1 0.0000 0.0000 0.5777 x3
Ba2 0.0000 0.0000 0.7846 x3
Zn1 0.0000 0.0000 0.1761 x3
Zn2 0.0000 0.0000 0.3896 x3
F1 0.0046 0.5023 0.5530 x9
F2 0.1722 0.3444 0.3477 x9
F3 0.1740 0.3480 0.1216 x9


Record 2
# Cs2BaH6N2O12
Calculated powder XRD pattern, Cu Kα X-rays. Input: a cell relaxed with GGA-PBE.
Peak positions follow from Bragg's law for the DFT cell and can differ from measured ones.

Peak list (10 most intense, 2θ = 10–80°, sorted by position)
- 17.3°, intensity 748, (1 0 1)
- 18.5°, intensity 476, (1 1 1)
- 21.4°, intensity 260, (0 0 2)
- 22.4°, intensity 908, (0 3 1)
- 28.2°, intensity 265, (2 1 0)
- 28.7°, intensity 1000, (1 2 2)
- 30.2°, intensity 487, (2 1 1)
- 32.4°, intensity 959, (1 3 2)
- 35.9°, intensity 321, (1 5 0)
- 37.6°, intensity 372, (2 2 2)

Crystal structure
Cell: 6.511 13.531 8.293 Å, 90.00 90.00 90.00°
Space group Pnnm (No. 58)
Unique sites:
Cs1 0.172 0.139 0.000 x4
Ba1 0.000 0.500 0.000 x2
H1 0.022 0.110 0.401 x8
H2 0.165 0.191 0.500 x4
N1 0.116 0.120 0.500 x4
O1 0.020 0.330 0.212 x8
O2 0.173 0.359 0.315 x8
O3 0.225 0.942 0.235 x8


Record 3
# CsBaI3
Calculated powder XRD pattern, Cu Kα X-rays. Input: a cell relaxed with GGA-PBE.
Peak positions follow from Bragg's law for the DFT cell and can differ from measured ones.

Peak list (10 most intense, 2θ = 10–80°, sorted by position)
- 23.5°, intensity 388, (1 1 3)
- 24.1°, intensity 632, (2 1 1)
- 25.1°, intensity 726, (1 0 5)
- 25.5°, intensity 1000, (2 1 2)
- 29.2°, intensity 362, (0 1 5)
- 34.0°, intensity 395, (0 2 0)
- 36.3°, intensity 185, (4 0 3)
- 38.5°, intensity 286, (1 1 7)
- 42.7°, intensity 343, (1 2 5)
- 50.6°, intensity 266, (3 0 9)

Crystal structure
Cell: 10.775 5.270 18.820 Å, 90.00 90.00 90.00°
Space group Pnma (No. 62)
Unique sites:
Cs1 0.080 0.250 0.176 x4
Ba1 0.171 0.750 0.438 x4
I1 0.030 0.750 0.606 x4
I2 0.159 0.750 0.008 x4
I3 0.193 0.250 0.777 x4


Record 4
# CsBaLiP2O7
Calculated powder XRD pattern, Cu Kα X-rays. Input: a cell relaxed with GGA-PBE.
Peak positions follow from Bragg's law for the DFT cell and can differ from measured ones.

Peak list (10 most intense, 2θ = 10–80°, sorted by position)
- 18.8°, intensity 205, (0 1 2)
- 21.0°, intensity 357, (1 2 -1)
- 23.6°, intensity 373, (1 2 1)
- 25.3°, intensity 402, (1 1 2)
- 25.8°, intensity 1000, (2 0 0)
- 26.8°, intensity 778, (2 0 -2)
- 29.8°, intensity 274, (0 3 2)
- 35.0°, intensity 519, (2 3 -1)
- 38.0°, intensity 232, (0 2 4)
- 43.2°, intensity 237, (1 5 0)

Crystal structure
Cell: 7.181 10.984 10.881 Å, 90.00 105.56 90.00°
Space group P2_1/c (No. 14)
Unique sites:
Cs1 0.249 0.172 0.004 x4
Ba1 0.194 0.557 0.877 x4
Li1 0.334 0.741 0.641 x4
P1 0.161 0.636 0.336 x4
P2 0.377 0.015 0.697 x4
O1 0.005 0.051 0.161 x4
O2 0.120 0.721 0.220 x4
O3 0.182 0.058 0.611 x4
O4 0.242 0.706 0.461 x4
O5 0.344 0.546 0.327 x4
O6 0.465 0.586 0.130 x4
O7 0.480 0.619 0.756 x4